# 1
Diffraction record for CsU2F7. The powder X-ray diffraction pattern is computed, not measured: it uses a cell relaxed with PBE and Cu Kα, 1.54184 Å.
Peak positions follow from Bragg's law for the DFT cell and can differ from measured ones.

Structural model:
```
data_CsU2F7
_symmetry_space_group_name_H-M 'C m m m'
_symmetry_Int_Tables_number 65
_symmetry_space_group_name_Hall '-C 2 2'
_cell_length_a 7.141
_cell_length_b 11.730
_cell_length_c 4.461
_cell_angle_alpha 90.00
_cell_angle_beta 90.00
_cell_angle_gamma 90.00
loop_
_atom_site_label
_atom_site_fract_x
_atom_site_fract_y
_atom_site_fract_z
_atom_site_occupancy
Cs1 0.000 0.000 0.000 1
U1 0.000 0.307 0.500 1
F1 0.000 0.265 0.000 1
F2 0.000 0.500 0.500 1
F3 0.189 0.137 0.500 1
```

Most intense lines, 15 to 90 degrees two-theta, most intense first:
| h k l | d [Å] | 2theta | intensity |
| --- | --- | --- | --- |
| 1 3 0 | 3.430 | 26.0 | 100 |
| 0 2 1 | 3.551 | 25.1 | 79 |
| 2 0 0 | 3.571 | 24.9 | 78 |
| 1 1 1 | 3.601 | 24.7 | 76 |
| 1 5 1 | 1.994 | 45.5 | 64 |
| 2 2 1 | 2.518 | 35.7 | 60 |
| 0 0 1 | 4.461 | 19.9 | 57 |
| 0 0 2 | 2.230 | 40.4 | 50 |
| 0 2 0 | 5.865 | 15.1 | 42 |
| 1 3 2 | 1.870 | 48.7 | 38 |



# 2
Diffraction record for Cs2ZrF6. The powder X-ray diffraction pattern is computed, not measured: it uses a cell relaxed with PBE and Cu Kα, 1.54184 Å.
Peak positions follow from Bragg's law for the DFT cell and can differ from measured ones.

Structural model:
```
data_Cs2ZrF6
_symmetry_space_group_name_H-M 'C m c m'
_symmetry_Int_Tables_number 63
_symmetry_space_group_name_Hall '-C 2c 2'
_cell_length_a 6.121
_cell_length_b 14.290
_cell_length_c 6.995
_cell_angle_alpha 90.00
_cell_angle_beta 90.00
_cell_angle_gamma 90.00
loop_
_atom_site_label
_atom_site_fract_x
_atom_site_fract_y
_atom_site_fract_z
_atom_site_occupancy
Cs1 0.000 0.044 0.250 1
Cs2 0.000 0.269 0.750 1
Zr1 0.000 0.388 0.250 1
F1 0.000 0.245 0.250 1
F2 0.000 0.472 0.750 1
F3 0.241 0.381 0.051 1
```

Most intense lines, 15 to 90 degrees two-theta, most intense first:
| h k l | d [Å] | 2theta | intensity |
| --- | --- | --- | --- |
| 1 3 1 | 3.311 | 26.9 | 100 |
| 2 0 2 | 2.303 | 39.1 | 52 |
| 0 0 2 | 3.498 | 25.5 | 43 |
| 2 0 0 | 3.061 | 29.2 | 28 |
| 0 6 1 | 2.255 | 40.0 | 27 |
| 1 3 0 | 3.759 | 23.7 | 26 |
| 2 6 3 | 1.463 | 63.6 | 25 |
| 1 3 3 | 1.982 | 45.8 | 23 |
| 2 6 1 | 1.815 | 50.3 | 21 |
| 1 3 2 | 2.561 | 35.0 | 17 |



# 3
Diffraction record for CsFe. The powder X-ray diffraction pattern is computed, not measured: it uses a cell relaxed with PBE and Cu Kα, 1.54184 Å.
Peak positions follow from Bragg's law for the DFT cell and can differ from measured ones.

Structural model:
```
data_CsFe
_symmetry_space_group_name_H-M 'F -4 3 m'
_symmetry_Int_Tables_number 216
_symmetry_space_group_name_Hall 'F -4 2 3'
_cell_length_a 8.260
_cell_length_b 8.260
_cell_length_c 8.260
_cell_angle_alpha 90.00
_cell_angle_beta 90.00
_cell_angle_gamma 90.00
loop_
_atom_site_label
_atom_site_fract_x
_atom_site_fract_y
_atom_site_fract_z
_atom_site_occupancy
Cs1 0.000 0.000 0.000 1
Fe1 0.250 0.250 0.750 1
```

Most intense lines, 15 to 90 degrees two-theta, most intense first:
| h k l | d [Å] | 2theta | intensity |
| --- | --- | --- | --- |
| 1 1 1 | 4.769 | 18.6 | 100 |
| 2 2 0 | 2.920 | 30.6 | 77 |
| 3 1 1 | 2.491 | 36.1 | 56 |
| 4 2 2 | 1.686 | 54.4 | 29 |
| 3 3 1 | 1.895 | 48.0 | 24 |
| 5 1 1 | 1.590 | 58.0 | 18 |
| 5 3 1 | 1.396 | 67.0 | 18 |
| 6 4 2 | 1.104 | 88.6 | 14 |
| 4 0 0 | 2.065 | 43.8 | 14 |
| 2 0 0 | 4.130 | 21.5 | 13 |



# 4
Diffraction record for CsFe2. The powder X-ray diffraction pattern is computed, not measured: it uses a cell relaxed with PBE and Cu Kα, 1.54184 Å.
Peak positions follow from Bragg's law for the DFT cell and can differ from measured ones.

Structural model:
a = 7.832 Å, b = 7.832 Å, c = 7.832 Å
α = 90.00°, β = 90.00°, γ = 90.00°
Space group Fd-3m (No. 227, origin choice 2)
Symmetry-distinct sites (fractional):
Cs (0.125, 0.125, 0.125) [8 per cell]
Fe (0.000, 0.000, 0.500) [16 per cell]

Most intense lines, 15 to 90 degrees two-theta, most intense first:
| h k l | d [Å] | 2theta | intensity |
| --- | --- | --- | --- |
| 3 1 1 | 2.362 | 38.1 | 100 |
| 2 2 0 | 2.769 | 32.3 | 58 |
| 5 1 1 | 1.507 | 61.5 | 31 |
| 4 4 0 | 1.385 | 67.7 | 23 |
| 4 2 2 | 1.599 | 57.7 | 22 |
| 2 2 2 | 2.261 | 39.9 | 18 |
| 5 3 3 | 1.194 | 80.4 | 11 |
| 6 2 0 | 1.238 | 77.0 | 10 |
| 1 1 1 | 4.522 | 19.6 | 8 |
| 6 2 2 | 1.181 | 81.5 | 6 |



# 5
Diffraction record for Cs2FeHgI6. The powder X-ray diffraction pattern is computed, not measured: it uses a cell relaxed with PBE and Cu Kα, 1.54184 Å.
Peak positions follow from Bragg's law for the DFT cell and can differ from measured ones.

Structural model:
```
data_Cs2FeHgI6
_symmetry_space_group_name_H-M 'I 4/m m m'
_symmetry_Int_Tables_number 139
_symmetry_space_group_name_Hall '-I 4 2'
_cell_length_a 8.617
_cell_length_b 8.617
_cell_length_c 11.887
_cell_angle_alpha 90.00
_cell_angle_beta 90.00
_cell_angle_gamma 90.00
loop_
_atom_site_label
_atom_site_fract_x
_atom_site_fract_y
_atom_site_fract_z
_atom_site_occupancy
Cs1 0.000 0.500 0.250 1
Fe1 0.000 0.000 0.000 1
Hg1 0.000 0.000 0.500 1
I1 0.000 0.000 0.266 1
I2 0.224 0.224 0.000 1
```

Most intense lines, 15 to 90 degrees two-theta, most intense first:
| h k l | d [Å] | 2theta | intensity |
| --- | --- | --- | --- |
| 2 0 2 | 3.488 | 25.5 | 100 |
| 2 2 0 | 3.047 | 29.3 | 100 |
| 2 2 4 | 2.127 | 42.5 | 69 |
| 0 0 4 | 2.972 | 30.1 | 49 |
| 4 0 0 | 2.154 | 41.9 | 34 |
| 4 0 4 | 1.744 | 52.5 | 34 |
| 4 2 2 | 1.833 | 49.8 | 31 |
| 2 1 1 | 3.666 | 24.3 | 25 |
| 1 1 2 | 4.255 | 20.9 | 25 |
| 3 0 1 | 2.792 | 32.1 | 17 |



# 6
Diffraction record for CsKFe2Se4. The powder X-ray diffraction pattern is computed, not measured: it uses a cell relaxed with PBE and Cu Kα, 1.54184 Å.
Peak positions follow from Bragg's law for the DFT cell and can differ from measured ones.

Structural model:
```
data_CsKFe2Se4
_symmetry_space_group_name_H-M 'C 1 2 1'
_symmetry_Int_Tables_number 5
_symmetry_space_group_name_Hall 'C 2y'
_cell_length_a 7.355
_cell_length_b 11.757
_cell_length_c 5.666
_cell_angle_alpha 90.00
_cell_angle_beta 112.69
_cell_angle_gamma 90.00
loop_
_atom_site_label
_atom_site_fract_x
_atom_site_fract_y
_atom_site_fract_z
_atom_site_occupancy
Cs1 0.000 0.000 0.000 1
K1 0.000 0.724 0.500 1
Fe1 0.000 0.360 0.500 1
Fe2 0.000 0.364 0.000 1
Se1 0.195 0.475 0.349 1
Se2 0.197 0.249 0.850 1
```

Most intense lines, 15 to 90 degrees two-theta, most intense first:
| h k l | d [Å] | 2theta | intensity |
| --- | --- | --- | --- |
| 2 2 -1 | 3.030 | 29.5 | 100 |
| 1 1 1 | 3.387 | 26.3 | 94 |
| 0 2 0 | 5.878 | 15.1 | 57 |
| 1 3 -2 | 2.296 | 39.2 | 38 |
| 1 3 1 | 2.624 | 34.2 | 36 |
| 3 3 0 | 1.958 | 46.4 | 32 |
| 0 4 0 | 2.939 | 30.4 | 29 |
| 4 0 -2 | 1.768 | 51.7 | 27 |
| 1 5 -2 | 1.809 | 50.4 | 23 |
| 1 1 -2 | 2.754 | 32.5 | 20 |



# 7
Diffraction record for CsLuFeS3. The powder X-ray diffraction pattern is computed, not measured: it uses a cell relaxed with PBE and Cu Kα, 1.54184 Å.
Peak positions follow from Bragg's law for the DFT cell and can differ from measured ones.

Structural model:
```
data_CsLuFeS3
_symmetry_space_group_name_H-M 'P 1 21/m 1'
_symmetry_Int_Tables_number 11
_symmetry_space_group_name_Hall '-P 2yb'
_cell_length_a 9.328
_cell_length_b 3.919
_cell_length_c 9.762
_cell_angle_alpha 90.00
_cell_angle_beta 113.00
_cell_angle_gamma 90.00
loop_
_atom_site_label
_atom_site_fract_x
_atom_site_fract_y
_atom_site_fract_z
_atom_site_occupancy
Cs1 0.223 0.250 0.249 1
Lu1 0.333 0.750 0.857 1
Fe1 0.075 0.250 0.595 1
S1 0.125 0.250 0.843 1
S2 0.194 0.750 0.547 1
S3 0.475 0.750 0.150 1
```

Most intense lines, 15 to 90 degrees two-theta, most intense first:
| h k l | d [Å] | 2theta | intensity |
| --- | --- | --- | --- |
| 2 1 -1 | 2.995 | 29.8 | 100 |
| 2 0 -2 | 3.975 | 22.4 | 56 |
| 2 1 0 | 2.894 | 30.9 | 43 |
| 0 1 1 | 3.592 | 24.8 | 37 |
| 3 1 2 | 1.834 | 49.7 | 25 |
| 1 0 3 | 2.537 | 35.4 | 24 |
| 2 0 0 | 4.293 | 20.7 | 24 |
| 2 1 -4 | 2.056 | 44.0 | 23 |
| 1 1 -3 | 2.502 | 35.9 | 23 |
| 2 1 -3 | 2.428 | 37.0 | 22 |



# 8
Diffraction record for CsLuFeS3. The powder X-ray diffraction pattern is computed, not measured: it uses a cell relaxed with PBE and Cu Kα, 1.54184 Å.
Peak positions follow from Bragg's law for the DFT cell and can differ from measured ones.

Structural model:
```
data_CsLuFeS3
_symmetry_space_group_name_H-M 'P n m a'
_symmetry_Int_Tables_number 62
_symmetry_space_group_name_Hall '-P 2ac 2n'
_cell_length_a 15.582
_cell_length_b 3.941
_cell_length_c 10.508
_cell_angle_alpha 90.00
_cell_angle_beta 90.00
_cell_angle_gamma 90.00
loop_
_atom_site_label
_atom_site_fract_x
_atom_site_fract_y
_atom_site_fract_z
_atom_site_occupancy
Cs1 0.237 0.250 0.028 1
Lu1 0.014 0.250 0.347 1
Fe1 0.011 0.750 0.088 1
S1 0.072 0.750 0.884 1
S2 0.088 0.250 0.572 1
S3 0.113 0.750 0.245 1
```

Most intense lines, 15 to 90 degrees two-theta, most intense first:
| h k l | d [Å] | 2theta | intensity |
| --- | --- | --- | --- |
| 3 1 1 | 3.008 | 29.7 | 100 |
| 4 0 0 | 3.896 | 22.8 | 80 |
| 3 1 2 | 2.695 | 33.2 | 72 |
| 1 1 2 | 3.090 | 28.9 | 58 |
| 2 0 2 | 4.356 | 20.4 | 57 |
| 2 0 4 | 2.489 | 36.1 | 49 |
| 2 1 5 | 1.804 | 50.6 | 47 |
| 5 1 2 | 2.216 | 40.7 | 44 |
| 4 1 1 | 2.679 | 33.4 | 40 |
| 5 0 3 | 2.328 | 38.7 | 34 |



# 9
Diffraction record for CsNdFeTe3. The powder X-ray diffraction pattern is computed, not measured: it uses a cell relaxed with PBE and Cu Kα, 1.54184 Å.
Peak positions follow from Bragg's law for the DFT cell and can differ from measured ones.

Structural model:
```
data_CsNdFeTe3
_symmetry_space_group_name_H-M 'P n m a'
_symmetry_Int_Tables_number 62
_symmetry_space_group_name_Hall '-P 2ac 2n'
_cell_length_a 12.576
_cell_length_b 4.758
_cell_length_c 14.000
_cell_angle_alpha 90.00
_cell_angle_beta 90.00
_cell_angle_gamma 90.00
loop_
_atom_site_label
_atom_site_fract_x
_atom_site_fract_y
_atom_site_fract_z
_atom_site_occupancy
Cs1 0.174 0.250 0.001 1
Nd1 0.026 0.250 0.670 1
Fe1 0.241 0.250 0.295 1
Te1 0.053 0.750 0.821 1
Te2 0.101 0.250 0.439 1
Te3 0.212 0.750 0.209 1
```

Most intense lines, 15 to 90 degrees two-theta, most intense first:
| h k l | d [Å] | 2theta | intensity |
| --- | --- | --- | --- |
| 2 1 2 | 3.335 | 26.7 | 100 |
| 1 1 3 | 3.221 | 27.7 | 91 |
| 4 0 2 | 2.869 | 31.2 | 86 |
| 1 1 4 | 2.751 | 32.5 | 75 |
| 4 0 1 | 3.068 | 29.1 | 66 |
| 0 2 0 | 2.379 | 37.8 | 63 |
| 5 1 5 | 1.742 | 52.5 | 41 |
| 4 2 1 | 1.879 | 48.5 | 39 |
| 1 1 2 | 3.754 | 23.7 | 34 |
| 2 0 4 | 3.058 | 29.2 | 28 |



# 10
Diffraction record for CsFeNiS3. The powder X-ray diffraction pattern is computed, not measured: it uses a cell relaxed with PBE and Cu Kα, 1.54184 Å.
Peak positions follow from Bragg's law for the DFT cell and can differ from measured ones.

Structural model:
```
data_CsFeNiS3
_symmetry_space_group_name_H-M 'P 1 21/m 1'
_symmetry_Int_Tables_number 11
_symmetry_space_group_name_Hall '-P 2yb'
_cell_length_a 8.367
_cell_length_b 3.548
_cell_length_c 9.283
_cell_angle_alpha 90.00
_cell_angle_beta 110.78
_cell_angle_gamma 90.00
loop_
_atom_site_label
_atom_site_fract_x
_atom_site_fract_y
_atom_site_fract_z
_atom_site_occupancy
Cs1 0.005 0.250 0.240 1
Fe1 0.495 0.250 0.859 1
Ni1 0.433 0.750 0.613 1
S1 0.268 0.250 0.628 1
S2 0.335 0.250 0.013 1
S3 0.383 0.750 0.334 1
```

Most intense lines, 15 to 90 degrees two-theta, most intense first:
| h k l | d [Å] | 2theta | intensity |
| --- | --- | --- | --- |
| 1 1 1 | 2.893 | 30.9 | 100 |
| 2 1 -1 | 2.700 | 33.2 | 99 |
| 2 0 0 | 3.911 | 22.7 | 93 |
| 2 0 -2 | 3.612 | 24.7 | 70 |
| 1 0 2 | 3.327 | 26.8 | 55 |
| 3 1 1 | 1.921 | 47.3 | 53 |
| 1 0 -4 | 2.313 | 38.9 | 48 |
| 1 1 -1 | 3.184 | 28.0 | 47 |
| 0 0 2 | 4.340 | 20.5 | 46 |
| 4 1 -3 | 1.728 | 53.0 | 36 |



# 11
Diffraction record for CsRbFe2S4. The powder X-ray diffraction pattern is computed, not measured: it uses a cell relaxed with PBE and Cu Kα, 1.54184 Å.
Peak positions follow from Bragg's law for the DFT cell and can differ from measured ones.

Structural model:
```
data_CsRbFe2S4
_symmetry_space_group_name_H-M 'C 1 2 1'
_symmetry_Int_Tables_number 5
_symmetry_space_group_name_Hall 'C 2y'
_cell_length_a 7.294
_cell_length_b 11.828
_cell_length_c 5.419
_cell_angle_alpha 90.00
_cell_angle_beta 111.41
_cell_angle_gamma 90.00
loop_
_atom_site_label
_atom_site_fract_x
_atom_site_fract_y
_atom_site_fract_z
_atom_site_occupancy
Cs1 0.000 0.000 0.000 1
Rb1 0.000 0.708 0.500 1
Fe1 0.000 0.351 0.500 1
Fe2 0.000 0.354 0.000 1
S1 0.180 0.452 0.341 1
S2 0.185 0.254 0.842 1
```

Most intense lines, 15 to 90 degrees two-theta, most intense first:
| h k l | d [Å] | 2theta | intensity |
| --- | --- | --- | --- |
| 1 3 0 | 3.410 | 26.1 | 100 |
| 2 2 -1 | 2.988 | 29.9 | 87 |
| 1 1 1 | 3.344 | 26.7 | 65 |
| 1 3 -2 | 2.233 | 40.4 | 46 |
| 1 1 -1 | 4.622 | 19.2 | 38 |
| 2 0 0 | 3.395 | 26.2 | 32 |
| 0 2 1 | 3.838 | 23.2 | 28 |
| 3 3 0 | 1.963 | 46.2 | 28 |
| 1 3 1 | 2.612 | 34.3 | 22 |
| 0 0 2 | 2.523 | 35.6 | 19 |



# 12
Diffraction record for CsZnFeS3. The powder X-ray diffraction pattern is computed, not measured: it uses a cell relaxed with PBE and Cu Kα, 1.54184 Å.
Peak positions follow from Bragg's law for the DFT cell and can differ from measured ones.

Structural model:
```
data_CsZnFeS3
_symmetry_space_group_name_H-M 'P n m a'
_symmetry_Int_Tables_number 62
_symmetry_space_group_name_Hall '-P 2ac 2n'
_cell_length_a 11.028
_cell_length_b 3.630
_cell_length_c 15.314
_cell_angle_alpha 90.00
_cell_angle_beta 90.00
_cell_angle_gamma 90.00
loop_
_atom_site_label
_atom_site_fract_x
_atom_site_fract_y
_atom_site_fract_z
_atom_site_occupancy
Cs1 0.248 0.250 0.025 1
Zn1 0.241 0.750 0.252 1
Fe1 0.033 0.750 0.763 1
S1 0.066 0.750 0.169 1
S2 0.070 0.250 0.668 1
S3 0.219 0.750 0.841 1
```

Most intense lines, 15 to 90 degrees two-theta, most intense first:
| h k l | d [Å] | 2theta | intensity |
| --- | --- | --- | --- |
| 1 1 3 | 2.857 | 31.3 | 100 |
| 2 1 3 | 2.607 | 34.4 | 85 |
| 2 0 0 | 5.514 | 16.1 | 70 |
| 2 0 2 | 4.475 | 19.8 | 69 |
| 2 1 7 | 1.774 | 51.5 | 63 |
| 0 0 4 | 3.829 | 23.2 | 55 |
| 3 1 1 | 2.547 | 35.2 | 52 |
| 4 0 0 | 2.757 | 32.5 | 47 |
| 1 1 1 | 3.364 | 26.5 | 45 |
| 2 0 4 | 3.145 | 28.4 | 33 |



# 13
Diffraction record for CsFeSe3. The powder X-ray diffraction pattern is computed, not measured: it uses a cell relaxed with PBE and Cu Kα, 1.54184 Å.
Peak positions follow from Bragg's law for the DFT cell and can differ from measured ones.

Structural model:
```
data_CsFeSe3
_symmetry_space_group_name_H-M 'P -1'
_symmetry_Int_Tables_number 2
_symmetry_space_group_name_Hall '-P 1'
_cell_length_a 6.191
_cell_length_b 7.487
_cell_length_c 7.723
_cell_angle_alpha 99.00
_cell_angle_beta 102.92
_cell_angle_gamma 112.96
loop_
_atom_site_label
_atom_site_fract_x
_atom_site_fract_y
_atom_site_fract_z
_atom_site_occupancy
Cs1 0.225 0.351 0.172 1
Fe1 0.268 0.941 0.516 1
Se1 0.164 0.185 0.662 1
Se2 0.199 0.634 0.596 1
Se3 0.360 0.915 0.244 1
```

Most intense lines, 15 to 90 degrees two-theta, most intense first:
| h k l | d [Å] | 2theta | intensity |
| --- | --- | --- | --- |
| 1 0 -2 | 3.571 | 24.9 | 100 |
| 0 2 -1 | 3.384 | 26.3 | 97 |
| 1 -2 2 | 2.685 | 33.4 | 63 |
| 1 -2 0 | 3.628 | 24.5 | 57 |
| 2 0 0 | 2.707 | 33.1 | 55 |
| 0 2 1 | 2.747 | 32.6 | 39 |
| 1 2 -3 | 2.085 | 43.4 | 34 |
| 1 0 2 | 2.651 | 33.8 | 31 |
| 2 0 1 | 2.313 | 38.9 | 30 |
| 1 -1 1 | 4.227 | 21.0 | 28 |